Record 1
For Li3CrO4, a crystal structure in the Materials Project, relaxed with GGA+U gives the theoretical PXRD pattern in this record (CuKα).

Most intense lines, 2θ = 10–80°, in order of rising 2θ:
| index | Position (°2θ) | I/Imax |
| --- | --- | --- |
| 0 1 0 | 15.2 | 48 |
| 1 0 0 | 18.5 | 100 |
| 1 1 0 | 24.0 | 29 |
| 0 1 1 | 24.5 | 62 |
| 1 1 -1 | 26.5 | 53 |
| 2 0 -2 | 44.1 | 44 |
| 1 2 1 | 44.2 | 86 |
| 3 2 -1 | 63.4 | 21 |

Atomic structure:
```
data_Li3CrO4
_chemical_formula_sum 'Li6 Cr2 O8'
_space_group_name_H-M_alt 'P 1 2/c 1'
_space_group_IT_number 13
_space_group_name_Hall '-P 2yc'
_cell_length_a 5.092
_cell_length_b 5.837
_cell_length_c 4.954
_cell_angle_alpha 90.00
_cell_angle_beta 109.95
_cell_angle_gamma 90.00
loop_
_atom_site_label
_atom_site_fract_x
_atom_site_fract_y
_atom_site_fract_z
_atom_site_occupancy
Li1 0.000 0.114 0.250 1
Li2 0.000 0.380 0.750 1
Li3 0.500 0.132 0.750 1
Cr1 0.500 0.345 0.250 1
O1 0.263 0.144 0.025 1
O2 0.284 0.394 0.490 1
```



Record 2
For Li15Cr2O12, a crystal structure in the Materials Project, relaxed with GGA+U gives the theoretical PXRD pattern in this record (CuKα).

Most intense lines, 2θ = 10–80°, in order of rising 2θ:
| index | Position (°2θ) | I/Imax |
| --- | --- | --- |
| 0 1 -1 | 18.3 | 35 |
| 0 1 1 | 19.7 | 100 |
| 0 0 2 | 22.4 | 73 |
| 0 2 0 | 31.0 | 17 |
| 1 0 -3 | 37.7 | 25 |
| 2 -1 1 | 37.9 | 47 |
| 2 -2 2 | 50.3 | 24 |
| 0 2 4 | 58.5 | 19 |

Atomic structure:
```
data_Li15Cr2O12
_chemical_formula_sum 'Li15 Cr2 O12'
_space_group_name_H-M_alt 'P 1'
_space_group_IT_number 1
_space_group_name_Hall 'P 1'
_cell_length_a 5.453
_cell_length_b 5.783
_cell_length_c 7.968
_cell_angle_alpha 94.58
_cell_angle_beta 90.16
_cell_angle_gamma 90.14
loop_
_atom_site_label
_atom_site_fract_x
_atom_site_fract_y
_atom_site_fract_z
_atom_site_occupancy
Li1 0.000 0.000 0.000 1
Li2 0.000 0.648 0.704 1
Li3 0.132 0.589 0.983 1
Li4 0.193 0.274 0.660 1
Li5 0.207 0.923 0.274 1
Li6 0.308 0.886 0.565 1
Li7 0.341 0.230 0.940 1
Li8 0.380 0.524 0.231 1
Li9 0.507 0.520 0.522 1
Li10 0.632 0.113 0.462 1
Li11 0.670 0.401 0.788 1
Li12 0.696 0.799 0.150 1
Li13 0.787 0.367 0.069 1
Li14 0.855 0.756 0.428 1
Li15 0.861 0.051 0.719 1
Cr1 0.007 0.327 0.354 1
Cr2 0.502 0.821 0.857 1
O1 0.129 0.326 0.128 1
O2 0.176 0.632 0.421 1
O3 0.194 0.989 0.782 1
O4 0.290 0.185 0.434 1
O5 0.345 0.522 0.786 1
O6 0.362 0.808 0.076 1
O7 0.644 0.826 0.621 1
O8 0.667 0.117 0.916 1
O9 0.726 0.493 0.296 1
O10 0.806 0.657 0.932 1
O11 0.859 0.327 0.584 1
O12 0.870 0.029 0.291 1
```



Record 3
For Li3Cr5O10, a crystal structure in the Materials Project, relaxed with GGA+U gives the theoretical PXRD pattern in this record (CuKα).

Most intense lines, 2θ = 10–80°, in order of rising 2θ:
| index | Position (°2θ) | I/Imax |
| --- | --- | --- |
| 0 1 -1 | 18.1 | 100 |
| -1 1 2 | 35.6 | 23 |
| 1 1 1 | 35.7 | 11 |
| 2 -2 1 | 43.1 | 61 |
| 2 1 -2 | 47.0 | 6 |
| 2 -3 2 | 56.8 | 10 |
| 1 -4 1 | 62.2 | 10 |
| 0 2 3 | 63.0 | 11 |

Atomic structure:
```
data_Li3Cr5O10
_chemical_formula_sum 'Li3 Cr5 O10'
_space_group_name_H-M_alt 'P -1'
_space_group_IT_number 2
_space_group_name_Hall '-P 1'
_cell_length_a 5.130
_cell_length_b 5.970
_cell_length_c 6.641
_cell_angle_alpha 103.59
_cell_angle_beta 97.60
_cell_angle_gamma 106.68
loop_
_atom_site_label
_atom_site_fract_x
_atom_site_fract_y
_atom_site_fract_z
_atom_site_occupancy
Li1 0.000 0.000 0.000 1
Li2 0.203 0.401 0.402 1
Cr1 0.000 0.500 0.000 1
Cr2 0.203 0.901 0.404 1
Cr3 0.399 0.296 0.806 1
O1 0.089 0.423 0.711 1
O2 0.095 0.971 0.686 1
O3 0.279 0.817 0.116 1
O4 0.290 0.373 0.088 1
O5 0.492 0.230 0.521 1
```



Record 4
For Li6Cr2O7, a crystal structure in the Materials Project, relaxed with GGA+U gives the theoretical PXRD pattern in this record (CuKα).

Most intense lines, 2θ = 10–80°, in order of rising 2θ:
| index | Position (°2θ) | I/Imax |
| --- | --- | --- |
| 0 1 1 | 18.2 | 100 |
| 1 0 -2 | 21.8 | 53 |
| 1 1 -1 | 23.6 | 25 |
| 1 1 1 | 28.7 | 40 |
| 2 0 -4 | 44.4 | 31 |
| 1 2 2 | 45.0 | 59 |
| 3 2 -2 | 64.2 | 14 |
| 1 2 -6 | 66.0 | 15 |

Atomic structure:
```
data_Li6Cr2O7
_chemical_formula_sum 'Li12 Cr4 O14'
_space_group_name_H-M_alt 'P 1 21/c 1'
_space_group_IT_number 14
_space_group_name_Hall '-P 2ybc'
_cell_length_a 5.037
_cell_length_b 5.768
_cell_length_c 9.753
_cell_angle_alpha 90.00
_cell_angle_beta 110.75
_cell_angle_gamma 90.00
loop_
_atom_site_label
_atom_site_fract_x
_atom_site_fract_y
_atom_site_fract_z
_atom_site_occupancy
Li1 0.190 0.005 0.130 1
Li2 0.230 0.716 0.863 1
Li3 0.237 0.231 0.368 1
Cr1 0.263 0.507 0.133 1
O1 0.010 0.222 0.504 1
O2 0.055 0.508 0.254 1
O3 0.487 0.728 0.739 1
O4 0.500 0.000 0.500 1
```



Record 5
For Li2CrO3, a crystal structure in the Materials Project, relaxed with GGA+U gives the theoretical PXRD pattern in this record (CuKα).

Most intense lines, 2θ = 10–80°, in order of rising 2θ:
| index | Position (°2θ) | I/Imax |
| --- | --- | --- |
| 1 0 1 | 20.7 | 37 |
| 0 1 1 | 20.9 | 100 |
| 1 1 2 | 33.3 | 47 |
| 1 1 3 | 41.3 | 22 |
| 2 1 1 | 41.9 | 19 |
| 2 2 0 | 52.1 | 22 |
| 1 2 3 | 52.8 | 48 |
| 3 0 3 | 65.2 | 17 |

Atomic structure:
```
data_Li2CrO3
_chemical_formula_sum 'Li8 Cr4 O12'
_space_group_name_H-M_alt 'P n n a'
_space_group_IT_number 52
_space_group_name_Hall '-P 2a 2bc'
_cell_length_a 4.999
_cell_length_b 4.940
_cell_length_c 8.375
_cell_angle_alpha 90.00
_cell_angle_beta 90.00
_cell_angle_gamma 90.00
loop_
_atom_site_label
_atom_site_fract_x
_atom_site_fract_y
_atom_site_fract_z
_atom_site_occupancy
Li1 0.250 0.000 0.073 1
Li2 0.250 0.000 0.763 1
Cr1 0.250 0.000 0.413 1
O1 0.083 0.219 0.572 1
O2 0.107 0.250 0.250 1
```